This entry pairs a crystal structure of Sm5Co2Hg2 with its simulated powder diffractogram. Radiation: CuKα. Structure: the GGA-PBE geometry in Alexandria.

Cell and atoms:
Cell: 8.9358 8.9358 7.6378 Å, 90.00 90.00 48.97°
Atoms (fractional coordinates):
Sm  0.0000  0.0000  0.0000
Sm  0.0589  0.6998  0.6810
Sm  0.1998  0.5589  0.1810
Sm  0.3002  0.9411  0.6810
Sm  0.4411  0.8002  0.1810
Sm  0.5000  0.5000  0.5000
Sm  0.5589  0.1998  0.8190
Sm  0.6998  0.0589  0.3190
Sm  0.8002  0.4411  0.8190
Sm  0.9411  0.3002  0.3190
Co  0.1078  0.8922  0.3885
Co  0.3922  0.6078  0.8885
Co  0.6078  0.3922  0.1115
Co  0.8922  0.1078  0.6115
Hg  0.2198  0.2198  0.0000
Hg  0.2802  0.2802  0.5000
Hg  0.7198  0.7198  0.5000
Hg  0.7802  0.7802  0.0000

Largest 8 diffraction maxima, in order of falling intensity, 15 to 90 degrees two-theta:
2θ = 32.16°, d = 2.784 Å, intensity 100
2θ = 32.71°, d = 2.738 Å, intensity 95
2θ = 33.71°, d = 2.659 Å, intensity 79
2θ = 32.26°, d = 2.775 Å, intensity 66
2θ = 34.81°, d = 2.577 Å, intensity 56
2θ = 26.79°, d = 3.328 Å, intensity 48
2θ = 59.38°, d = 1.556 Å, intensity 39
2θ = 37.77°, d = 2.382 Å, intensity 37